1.
# K4Hf
Computed powder X-ray diffraction pattern, Cu Kα (weighted mean of Kα1 and Kα2). Input: a crystal structure in Alexandria, relaxed with GGA-PBE.
Peak positions follow from Bragg's law for the DFT cell and can differ from measured ones.

The 10 most intense peaks (10° ≤ 2θ ≤ 80°), low angle first:
(1 0 0), 12.67 deg, rel. 100
(1 1 0), 17.95 deg, rel. 92
(2 0 0), 25.50 deg, rel. 78
(2 1 0), 28.57 deg, rel. 61
(2 1 1), 31.36 deg, rel. 48
(2 2 0), 36.37 deg, rel. 59
(3 0 0), 38.66 deg, rel. 34
(3 1 0), 40.84 deg, rel. 23
(3 2 1), 48.76 deg, rel. 28
(4 2 0), 59.13 deg, rel. 27

Atomic structure:
```
data_K4Hf
_cell_length_a 6.9874
_cell_length_b 6.9874
_cell_length_c 6.9874
_cell_angle_alpha 90.00
_cell_angle_beta 90.00
_cell_angle_gamma 90.00
_symmetry_space_group_name_H-M 'P m -3 m'
_symmetry_Int_Tables_number 221
_symmetry_space_group_name_Hall '-P 4 2 3'
loop_
_atom_site_label
_atom_site_type_symbol
_atom_site_fract_x
_atom_site_fract_y
_atom_site_fract_z
K1 K 0.0000 0.0000 0.0000
K2 K 0.0000 0.5000 0.5000
Hf1 Hf 0.5000 0.5000 0.5000
```

2.
# Pu2Ag3
Computed powder X-ray diffraction pattern, Cu Kα (weighted mean of Kα1 and Kα2). Input: a crystal structure in Alexandria, relaxed with GGA-PBE.
Peak positions follow from Bragg's law for the DFT cell and can differ from measured ones.

The 10 most intense peaks (10° ≤ 2θ ≤ 80°), low angle first:
(1 1 0), 24.23 deg, rel. 52
(1 1 2), 31.71 deg, rel. 100
(0 1 3), 34.35 deg, rel. 52
(1 0 3), 35.82 deg, rel. 48
(2 0 0), 37.41 deg, rel. 48
(0 2 2), 37.63 deg, rel. 30
(1 2 1), 38.14 deg, rel. 73
(2 1 3), 51.69 deg, rel. 33
(2 2 2), 54.10 deg, rel. 21
(1 2 5), 65.22 deg, rel. 35

Atomic structure:
```
data_Pu2Ag3
_cell_length_a 4.8082
_cell_length_b 5.6918
_cell_length_c 8.8127
_cell_angle_alpha 90.00
_cell_angle_beta 90.00
_cell_angle_gamma 90.00
_symmetry_space_group_name_H-M 'I m m m'
_symmetry_Int_Tables_number 71
_symmetry_space_group_name_Hall '-I 2 2'
loop_
_atom_site_label
_atom_site_type_symbol
_atom_site_fract_x
_atom_site_fract_y
_atom_site_fract_z
Pu1 Pu 0.0000 0.0000 0.1897
Ag1 Ag 0.0000 0.2590 0.5000
Ag2 Ag 0.0000 0.5000 0.0000
```

3.
# CaMg5Sn6
Computed powder X-ray diffraction pattern, Cu Kα (weighted mean of Kα1 and Kα2). Input: a crystal structure in Alexandria, relaxed with GGA-PBE.
Peak positions follow from Bragg's law for the DFT cell and can differ from measured ones.

The 10 most intense peaks (10° ≤ 2θ ≤ 80°), low angle first:
(2 0 0), 19.10 deg, rel. 66
(0 0 2), 28.73 deg, rel. 24
(1 3 -1), 30.27 deg, rel. 44
(2 0 -2), 31.33 deg, rel. 53
(1 3 1), 32.06 deg, rel. 100
(2 0 2), 37.85 deg, rel. 32
(4 0 0), 38.76 deg, rel. 32
(3 3 -1), 39.68 deg, rel. 56
(3 3 1), 43.84 deg, rel. 24
(1 3 -3), 50.68 deg, rel. 26

Atomic structure:
```
data_CaMg5Sn6
_cell_length_a 9.4772
_cell_length_b 10.3483
_cell_length_c 6.3386
_cell_angle_alpha 90.00
_cell_angle_beta 101.31
_cell_angle_gamma 90.00
_symmetry_space_group_name_H-M 'C 1 2/m 1'
_symmetry_Int_Tables_number 12
loop_
_symmetry_equiv_pos_as_xyz
'x,y,z'
'-x,-y,-z'
'-x,y,-z'
'x,-y,z'
'x+1/2,y+1/2,z'
'-x+1/2,-y+1/2,-z'
'-x+1/2,y+1/2,-z'
'x+1/2,-y+1/2,z'
loop_
_atom_site_label
_atom_site_type_symbol
_atom_site_fract_x
_atom_site_fract_y
_atom_site_fract_z
Ca1 Ca 0.0000 0.0000 0.0000
Mg1 Mg 0.0000 0.1665 0.5000
Mg2 Mg 0.0000 0.3404 0.0000
Mg3 Mg 0.0000 0.5000 0.5000
Sn1 Sn 0.2443 0.3266 0.7362
Sn2 Sn 0.2450 0.5000 0.2678
```

4.
# Ir4RhW
Computed powder X-ray diffraction pattern, Cu Kα (weighted mean of Kα1 and Kα2). Input: a crystal structure in Alexandria, relaxed with GGA-PBE.
Peak positions follow from Bragg's law for the DFT cell and can differ from measured ones.

The 10 most intense peaks (10° ≤ 2θ ≤ 80°), low angle first:
(0 2 0), 15.27 deg, rel. 1
(0 2 1), 27.53 deg, rel. 1
(1 1 1), 33.43 deg, rel. 2
(1 3 1), 40.19 deg, rel. 100
(0 0 2), 46.52 deg, rel. 17
(2 0 0), 46.74 deg, rel. 16
(0 6 0), 46.97 deg, rel. 16
(2 0 2), 68.07 deg, rel. 11
(0 6 2), 68.26 deg, rel. 10
(2 6 0), 68.43 deg, rel. 10

Atomic structure:
```
data_Ir4RhW
_cell_length_a 3.8869
_cell_length_b 11.6062
_cell_length_c 3.9044
_cell_angle_alpha 90.00
_cell_angle_beta 90.00
_cell_angle_gamma 90.00
_symmetry_space_group_name_H-M 'C m m m'
_symmetry_Int_Tables_number 65
_symmetry_space_group_name_Hall '-C 2 2'
loop_
_atom_site_label
_atom_site_type_symbol
_atom_site_fract_x
_atom_site_fract_y
_atom_site_fract_z
Ir1 Ir 0.0000 0.1599 0.0000
Ir2 Ir 0.0000 0.3327 0.5000
Rh1 Rh 0.0000 0.0000 0.5000
W1 W 0.0000 0.5000 0.0000
```

5.
# Dy7Er2
Computed powder X-ray diffraction pattern, Cu Kα (weighted mean of Kα1 and Kα2). Input: a crystal structure in Alexandria, relaxed with GGA-PBE.
Peak positions follow from Bragg's law for the DFT cell and can differ from measured ones.

The 6 most intense peaks (10° ≤ 2θ ≤ 80°), low angle first:
(1 1 1), 31.07 deg, rel. 100
(2 -1 2), 36.03 deg, rel. 51
(3 0 0), 51.88 deg, rel. 36
(3 0 3), 61.72 deg, rel. 43
(2 2 2), 64.79 deg, rel. 12
(4 -2 4), 76.43 deg, rel. 6

Atomic structure:
```
data_Dy7Er2
_cell_length_a 6.1066
_cell_length_b 6.1066
_cell_length_c 8.6306
_cell_angle_alpha 90.00
_cell_angle_beta 90.00
_cell_angle_gamma 120.00
_symmetry_space_group_name_H-M 'P -3 1 m'
_symmetry_Int_Tables_number 162
_symmetry_space_group_name_Hall '-P 3 2'
loop_
_atom_site_label
_atom_site_type_symbol
_atom_site_fract_x
_atom_site_fract_y
_atom_site_fract_z
Dy1 Dy 0.0000 0.0000 0.0000
Dy2 Dy 0.0000 0.3334 0.6673
Er1 Er 0.3333 0.6667 0.0000
```

6.
# BaTbTcO6
Computed powder X-ray diffraction pattern, Cu Kα (weighted mean of Kα1 and Kα2). Input: a crystal structure in Alexandria, relaxed with GGA-PBE.
Peak positions follow from Bragg's law for the DFT cell and can differ from measured ones.

The 10 most intense peaks (10° ≤ 2θ ≤ 80°), low angle first:
(0 0 1), 15.77 deg, rel. 17
(1 0 1), 24.17 deg, rel. 100
(1 1 0), 31.81 deg, rel. 52
(2 0 1), 40.34 deg, rel. 23
(2 -1 2), 45.63 deg, rel. 44
(3 -1 1), 52.28 deg, rel. 35
(3 0 0), 56.65 deg, rel. 13
(2 2 0), 66.47 deg, rel. 15
(3 1 1), 71.86 deg, rel. 19
(1 1 4), 75.62 deg, rel. 18

Atomic structure:
```
data_BaTbTcO6
_cell_length_a 5.6280
_cell_length_b 5.6280
_cell_length_c 5.6188
_cell_angle_alpha 90.00
_cell_angle_beta 90.00
_cell_angle_gamma 120.00
_symmetry_space_group_name_H-M 'P 3 1 2'
_symmetry_Int_Tables_number 149
loop_
_symmetry_equiv_pos_as_xyz
'x,y,z'
'-y,x-y,z'
'-x+y,-x,z'
'-y,-x,-z'
'-x+y,y,-z'
'x,x-y,-z'
loop_
_atom_site_label
_atom_site_type_symbol
_atom_site_fract_x
_atom_site_fract_y
_atom_site_fract_z
Ba1 Ba 0.0000 0.0000 0.0000
Tb1 Tb 0.3333 0.6667 0.5000
Tc1 Tc 0.6667 0.3333 0.5000
O1 O 0.4013 0.0456 0.6959
```

7.
# Na8B9C7
Computed powder X-ray diffraction pattern, Cu Kα (weighted mean of Kα1 and Kα2). Input: a crystal structure in Alexandria, relaxed with GGA-PBE.
Peak positions follow from Bragg's law for the DFT cell and can differ from measured ones.

The 10 most intense peaks (10° ≤ 2θ ≤ 80°), low angle first:
(0 0 4), 36.16 deg, rel. 7
(1 0 2), 36.69 deg, rel. 12
(0 2 4), 42.17 deg, rel. 36
(0 4 0), 42.65 deg, rel. 100
(0 4 4), 57.15 deg, rel. 4
(1 4 2), 57.53 deg, rel. 7
(1 0 6), 65.37 deg, rel. 12
(2 0 0), 66.42 deg, rel. 6
(0 6 4), 77.81 deg, rel. 4
(1 6 2), 78.13 deg, rel. 9

Atomic structure:
```
data_Na8B9C7
_cell_length_a 2.8152
_cell_length_b 8.4715
_cell_length_c 9.9374
_cell_angle_alpha 90.00
_cell_angle_beta 90.00
_cell_angle_gamma 90.00
_symmetry_space_group_name_H-M 'P m m 2'
_symmetry_Int_Tables_number 25
loop_
_symmetry_equiv_pos_as_xyz
'x,y,z'
'-x,-y,z'
'-x,y,z'
'x,-y,z'
loop_
_atom_site_label
_atom_site_type_symbol
_atom_site_fract_x
_atom_site_fract_y
_atom_site_fract_z
Na1 Na 0.0000 0.2467 0.0000
Na2 Na 0.0000 0.2491 0.5001
Na3 Na 0.5000 0.2478 0.2506
Na4 Na 0.5000 0.2501 0.7484
B1 B 0.0000 0.0000 0.3340
B2 B 0.0000 0.0000 0.8338
B3 B 0.0000 0.5000 0.1730
B4 B 0.0000 0.5000 0.6540
B5 B 0.0000 0.5000 0.8261
B6 B 0.5000 0.0000 0.0836
B7 B 0.5000 0.0000 0.5842
B8 B 0.5000 0.5000 0.4128
B9 B 0.5000 0.5000 0.9360
C1 C 0.0000 0.0000 0.1673
C2 C 0.0000 0.0000 0.6672
C3 C 0.0000 0.5000 0.3332
C4 C 0.5000 0.0000 0.4173
C5 C 0.5000 0.0000 0.9171
C6 C 0.5000 0.5000 0.0919
C7 C 0.5000 0.5000 0.5742
```